Starting from a DFT-relaxed cell (PBE, Alexandria), the powder diffraction line list of Li3Ac2PmBi4 was computed for copper Kα.
No peak broadening, texture or thermal motion is included.

Principal peaks in the range 2θ = 15–90°, in order of rising 2θ:
2θ = 23.22°, I 34, hkl 1 0 2
2θ = 26.66°, I 14, hkl 1 1 1
2θ = 28.45°, I 15, hkl 1 0 3
2θ = 29.57°, I 100, hkl 1 1 2
2θ = 34.56°, I 20, hkl 1 0 4
2θ = 36.56°, I 42, hkl 2 0 0
2θ = 52.67°, I 15, hkl 2 2 0
2θ = 61.56°, I 26, hkl 3 1 2

Structure:
```
data_Li3Ac2PmBi4
_symmetry_space_group_name_H-M 'P -4 m 2'
_symmetry_Int_Tables_number 115
_cell_length_a 4.9155
_cell_length_b 4.9155
_cell_length_c 12.2236
_cell_angle_alpha 90.00
_cell_angle_beta 90.00
_cell_angle_gamma 90.00
loop_
_symmetry_equiv_pos_as_xyz
'x,y,z'
'y,-x,-z'
'-x,-y,z'
'-y,x,-z'
'-x,y,z'
'-y,-x,-z'
'x,-y,z'
'y,x,-z'
loop_
_atom_site_label
_atom_site_type_symbol
_atom_site_fract_x
_atom_site_fract_y
_atom_site_fract_z
Li1 Li 0.0000 0.0000 0.0000
Li2 Li 0.0000 0.5000 0.6126
Ac1 Ac 0.0000 0.5000 0.2764
Pm1 Pm 0.5000 0.5000 0.0000
Bi1 Bi 0.0000 0.0000 0.5000
Bi2 Bi 0.0000 0.5000 0.8347
Bi3 Bi 0.5000 0.5000 0.5000
```